Structure and calculated X-ray powder pattern of ZrPb2F8 (a cell relaxed with PBE; Cu Kα, 1.54184 Å).
Neutral-atom scattering factors, no anomalous dispersion.

Peak list (10 most intense, 2θ from 5° to 70°, in order of falling intensity)
23.8 deg, rel. 100, hkl 1 1 2; 25.3 deg, rel. 65, hkl 2 1 1; 45.5 deg, rel. 41, hkl 3 2 2; 24.2 deg, rel. 40, hkl 2 1 0; 32.5 deg, rel. 30, hkl 0 2 0; 28.1 deg, rel. 24, hkl 3 0 1; 43.4 deg, rel. 23, hkl 3 2 1; 40.9 deg, rel. 22, hkl 1 2 3; 49.5 deg, rel. 21, hkl 5 1 1; 24.3 deg, rel. 20, hkl 1 0 3

Crystal structure
```
ZrPb2F8
1.0
9.899 0.000 0.000
0.000 5.517 0.000
0.000 0.000 11.836
Zr Pb F
4 8 32
Cartesian
2.457 1.379 1.544
2.493 4.138 7.462
7.406 1.379 4.374
7.442 4.138 10.291
0.346 4.138 4.113
1.384 4.138 10.931
3.565 1.379 5.014
4.604 1.379 10.031
5.295 4.138 1.805
6.334 4.138 6.822
8.515 1.379 0.904
9.553 1.379 7.723
0.958 2.805 1.486
0.958 5.471 1.486
1.297 2.774 6.303
1.297 5.502 6.303
1.366 2.830 8.755
1.366 5.446 8.755
1.544 1.379 3.593
1.722 1.379 11.341
3.227 4.138 5.423
3.406 4.138 9.511
3.583 0.072 2.837
3.583 2.687 2.837
3.652 0.016 0.385
3.652 2.743 0.385
3.992 0.047 7.404
3.992 2.712 7.404
5.907 2.805 4.432
5.907 5.471 4.432
6.247 2.774 11.451
6.247 5.502 11.451
6.316 2.830 8.999
6.316 5.446 8.999
6.494 1.379 2.325
6.672 1.379 6.413
8.177 4.138 0.495
8.355 4.138 8.243
8.533 0.072 3.081
8.533 2.687 3.081
8.602 0.016 5.533
8.602 2.743 5.533
8.941 0.047 10.349
8.941 2.712 10.349
```